(1)
For ErMg7, a cell relaxed with PBE gives the theoretical XRD peak list in this record (Cu Ka).

Peak list (8 most intense, 10° ≤ 2θ ≤ 90°, by angle)
- 2θ 20.01, d = 4.438 Å, I 61.1
- 2θ 24.30, d = 3.663 Å, I 35.4
- 2θ 29.26, d = 3.052 Å, I 32.4
- 2θ 31.25, d = 2.863 Å, I 22.3
- 2θ 33.91, d = 2.643 Å, I 100.0
- 2θ 39.40, d = 2.287 Å, I 33.1
- 2θ 56.88, d = 1.619 Å, I 32.9
- 2θ 67.96, d = 1.379 Å, I 25.4

Atomic structure:
```
data_ErMg7
_cell_length_a 4.5736
_cell_length_b 4.5736
_cell_length_c 18.3524
_cell_angle_alpha 90.00
_cell_angle_beta 90.00
_cell_angle_gamma 90.00
_space_group_name_H-M_alt 'I 4/m m m'
_space_group_IT_number 139
_space_group_name_Hall '-I 4 2'
loop_
_atom_site_label
_atom_site_type_symbol
_atom_site_fract_x
_atom_site_fract_y
_atom_site_fract_z
_atom_site_occupancy
Er1 Er 0.0000 0.0000 0.0000 1
Mg1 Mg 0.0000 0.0000 0.2456 1
Mg2 Mg 0.0000 0.0000 0.5000 1
Mg3 Mg 0.0000 0.5000 0.1281 1
```

***

(2)
For Er2Mg17, a cell relaxed with PBE gives the theoretical XRD peak list in this record (Cu Ka).

Peak list (8 most intense, 10° ≤ 2θ ≤ 90°, by angle)
- 2θ 15.37, d = 5.765 Å, I 20.9
- 2θ 17.42, d = 5.090 Å, I 46.0
- 2θ 24.76, d = 3.596 Å, I 56.7
- 2θ 30.39, d = 2.941 Å, I 34.5
- 2θ 35.26, d = 2.546 Å, I 100.0
- 2θ 35.81, d = 2.507 Å, I 20.9
- 2θ 47.27, d = 1.923 Å, I 19.0
- 2θ 50.74, d = 1.799 Å, I 32.2

Atomic structure:
```
data_Er2Mg17
_cell_length_a 10.1882
_cell_length_b 10.1882
_cell_length_c 15.2317
_cell_angle_alpha 90.00
_cell_angle_beta 90.00
_cell_angle_gamma 120.00
_space_group_name_H-M_alt 'R -3 m'
_space_group_IT_number 166
_space_group_name_Hall '-R 3 2"'
loop_
_atom_site_label
_atom_site_type_symbol
_atom_site_fract_x
_atom_site_fract_y
_atom_site_fract_z
_atom_site_occupancy
Er1 Er 0.0000 0.0000 0.1722 1
Mg1 Mg 0.0000 0.0000 0.4006 1
Mg2 Mg 0.0000 0.3066 0.5000 1
Mg3 Mg 0.0000 0.5000 0.0000 1
Mg4 Mg 0.0091 0.5045 0.6515 1
```